Starting from DFT lattice parameters and positions (PBE), the powder diffractogram of ZnAg2TeO4 was calculated for CuKα.
Peak positions follow from Bragg's law for the DFT cell and can differ from measured ones.

The 8 most intense peaks (5 to 70 degrees two-theta), low angle first:
| h k l | 2theta | Rel. int. |
| --- | --- | --- |
| 2 0 0 | 29.69 | 58 |
| 0 2 1 | 32.57 | 87 |
| 2 0 -2 | 33.81 | 38 |
| 2 2 -1 | 35.25 | 100 |
| 0 0 2 | 41.24 | 36 |
| 4 0 -2 | 49.66 | 18 |
| 2 2 1 | 52.68 | 29 |
| 2 2 -3 | 57.94 | 22 |

a = 7.4039 Å, b = 7.0665 Å, c = 5.3864 Å
α = 90.00°, β = 125.64°, γ = 90.00°
Space group C2 (No. 5)
Inequivalent atoms, fractional coordinates:
Zn 0.0000 0.0000 0.0000
Ag 0.0000 0.5306 0.0000
Ag 0.0000 0.7594 0.5000
Te 0.0000 0.3043 0.5000
O 0.1497 0.1222 0.4112
O 0.2287 0.8181 0.0437